Theoretical powder X-ray diffraction pattern of PrSi2Pt4 for Cu Kα (weighted mean of Kα1 and Kα2), from a GGA-PBE-relaxed structure.
Lines closer than 0.1° are merged.

Most intense lines, 2θ = 5–70°, by intensity:
index  Position (°2θ)  I_rel
1 3 1  36.1  100
2 0 0  43.5  35
0 2 0  12.6  28
2 6 0  59.5  20
0 6 0  38.5  18
1 9 1  68.1  14
1 5 1  44.6  13
2 0 2  63.3  11
2 2 0  45.5  5
1 1 1  31.1  5
0 8 0  52.1  3
1 3 0  28.7  3

Crystal structure
```
data_PrSi2Pt4
_space_group_name_H-M_alt 'C m m m'
_space_group_IT_number 65
_space_group_name_Hall '-C 2 2'
_cell_length_a 4.1571
_cell_length_b 14.0350
_cell_length_c 4.1559
_cell_angle_alpha 90.00
_cell_angle_beta 90.00
_cell_angle_gamma 90.00
loop_
_atom_site_label
_atom_site_type_symbol
_atom_site_fract_x
_atom_site_fract_y
_atom_site_fract_z
_atom_site_occupancy
Pr1 Pr 0.0000 0.0000 0.0000 1
Si1 Si 0.0000 0.4130 0.5000 1
Pt1 Pt 0.0000 0.1756 0.5000 1
Pt2 Pt 0.0000 0.3268 0.0000 1
```

Theoretical powder X-ray diffraction pattern of PrSi2Pt8 for Cu Kα (weighted mean of Kα1 and Kα2), from a GGA-PBE-relaxed structure.
Lines closer than 0.1° are merged.

Most intense lines, 2θ = 5–70°, by intensity:
index  Position (°2θ)  I_rel
2 0 2  40.5  100
2 0 0  33.0  77
0 0 2  22.9  56
2 2 0  47.3  48
0 0 1  11.4  43
2 0 3  48.6  41
0 0 3  34.7  35
2 2 3  60.0  29
2 0 5  69.8  27
2 0 1  35.0  24
2 2 2  53.2  24
4 0 0  69.1  16

Crystal structure
```
data_PrSi2Pt8
_space_group_name_H-M_alt 'P 4/m m m'
_space_group_IT_number 123
_space_group_name_Hall '-P 4 2'
_cell_length_a 5.4340
_cell_length_b 5.4340
_cell_length_c 7.7521
_cell_angle_alpha 90.00
_cell_angle_beta 90.00
_cell_angle_gamma 90.00
loop_
_atom_site_label
_atom_site_type_symbol
_atom_site_fract_x
_atom_site_fract_y
_atom_site_fract_z
_atom_site_occupancy
Pr1 Pr 0.0000 0.0000 0.0000 1
Si1 Si 0.0000 0.5000 0.5000 1
Pt1 Pt 0.2528 0.2528 0.3016 1
```

Theoretical powder X-ray diffraction pattern of Pr2YSi3Pt12 for Cu Kα (weighted mean of Kα1 and Kα2), from a GGA-PBE-relaxed structure.
Lines closer than 0.1° are merged.

Most intense lines, 2θ = 5–70°, by intensity:
index  Position (°2θ)  I_rel
0 2 4  31.6  100
2 2 0  43.3  53
2 0 8  47.1  36
1 2 2  34.3  22
4 0 4  54.6  17
1 0 4  23.1  13
3 0 6  48.2  12
0 4 8  66.0  11
2 1 4  38.4  10
5 0 2  65.3  10
1 4 6  66.8  7
2 3 2  56.4  7

Crystal structure
```
data_Pr2YSi3Pt12
_space_group_name_H-M_alt 'R -3 m'
_space_group_IT_number 166
_space_group_name_Hall '-R 3 2"'
_cell_length_a 8.3492
_cell_length_b 8.3492
_cell_length_c 18.2334
_cell_angle_alpha 90.00
_cell_angle_beta 90.00
_cell_angle_gamma 120.00
loop_
_atom_site_label
_atom_site_type_symbol
_atom_site_fract_x
_atom_site_fract_y
_atom_site_fract_z
_atom_site_occupancy
Pr1 Pr 0.0000 0.0000 0.0993 1
Y1 Y 0.0000 0.0000 0.5000 1
Si1 Si 0.0000 0.5000 0.0000 1
Pt1 Pt 0.0303 0.5152 0.8710 1
Pt2 Pt 0.0348 0.5174 0.3655 1
```